No. 1
Diffraction record for AgBiSeO. The powder X-ray diffraction pattern is simulated, not measured: it uses a PBE-relaxed structure and Cu Kα X-rays.
Lines closer than 0.1° are merged.

Peak list (10 most intense, 10° ≤ 2θ ≤ 80°, sorted by position)
- 25.14 deg, intensity 100
- 30.11 deg, intensity 91
- 31.14 deg, intensity 38
- 32.24 deg, intensity 31
- 36.44 deg, intensity 33
- 40.08 deg, intensity 28
- 44.61 deg, intensity 33
- 52.83 deg, intensity 22
- 54.71 deg, intensity 19
- 54.83 deg, intensity 15

Cell and atoms:
Cell lengths 5.752, 5.737, 11.234 Å; angles 90.00, 104.76, 90.00 degrees
Fractional coordinates of all 16 atoms:
Ag  0.025  0.000  0.148
Ag  0.369  0.213  0.023
Ag  0.631  0.713  0.977
Ag  0.975  0.500  0.852
Bi  0.053  0.787  0.611
Bi  0.458  0.810  0.383
Bi  0.542  0.310  0.617
Bi  0.947  0.287  0.389
Se  0.236  0.198  0.794
Se  0.375  0.267  0.246
Se  0.625  0.767  0.754
Se  0.764  0.698  0.206
O  0.241  0.522  0.502
O  0.247  0.031  0.503
O  0.753  0.531  0.497
O  0.759  0.022  0.498

No. 2
Diffraction record for AgBiTe4O14. The powder X-ray diffraction pattern is simulated, not measured: it uses a PBE-relaxed structure and Cu Kα X-rays.
Lines closer than 0.1° are merged.

Peak list (10 most intense, 10° ≤ 2θ ≤ 80°, sorted by position)
- 14.94 deg, intensity 10
- 26.02 deg, intensity 100
- 30.12 deg, intensity 18
- 33.86 deg, intensity 24
- 40.17 deg, intensity 22
- 48.60 deg, intensity 22
- 51.09 deg, intensity 17
- 55.81 deg, intensity 13
- 55.99 deg, intensity 11
- 69.10 deg, intensity 11

Cell and atoms:
Cell lengths 7.264, 7.264, 7.264 Å; angles 109.62, 109.62, 109.18 degrees
Fractional coordinates of all 20 atoms:
Ag  0.000  0.000  0.000
Bi  0.423  0.423  0.000
Te  0.041  0.823  0.444
Te  0.378  0.596  0.556
Te  0.596  0.041  0.218
Te  0.823  0.378  0.782
O  0.035  0.291  0.816
O  0.094  0.594  0.500
O  0.114  0.837  0.231
O  0.219  0.035  0.744
O  0.291  0.475  0.256
O  0.365  0.382  0.638
O  0.382  0.744  0.017
O  0.475  0.219  0.184
O  0.594  0.094  0.500
O  0.607  0.884  0.769
O  0.727  0.365  0.983
O  0.744  0.727  0.362
O  0.837  0.607  0.723
O  0.884  0.114  0.277

No. 3
Diffraction record for AgBiOs2. The powder X-ray diffraction pattern is simulated, not measured: it uses a PBE-relaxed structure and Cu Kα X-rays.
Lines closer than 0.1° are merged.

Peak list (10 most intense, 10° ≤ 2θ ≤ 80°, sorted by position)
- 12.48 deg, intensity 25
- 21.02 deg, intensity 39
- 25.11 deg, intensity 38
- 36.24 deg, intensity 34
- 38.06 deg, intensity 15
- 39.11 deg, intensity 40
- 41.52 deg, intensity 100
- 43.00 deg, intensity 18
- 47.32 deg, intensity 20
- 72.50 deg, intensity 19

Cell and atoms:
Cell lengths 4.607, 7.092, 5.264 Å; angles 90.00, 90.00, 90.00 degrees
Fractional coordinates of all 8 atoms:
Ag  0.000  0.000  0.000
Ag  0.000  0.000  0.500
Bi  0.500  0.157  0.250
Bi  0.500  0.843  0.750
Os  0.000  0.458  0.250
Os  0.000  0.542  0.750
Os  0.498  0.500  0.000
Os  0.502  0.500  0.500